Record 1
BaSrNbInO6: computed powder X-ray diffraction pattern (Cu Kα (λ = 1.5418 Å)), based on a structure optimized by DFT (PBE).
Peak positions follow from Bragg's law for the DFT cell and can differ from measured ones.

Cell and atoms:
Cell lengths 8.354, 8.354, 8.354 Å; angles 90.00, 90.00, 90.00 degrees
Space group F-43m (No. 216)
Symmetry-distinct sites (fractional):
Ba: 0.000 0.000 0.000 [4 per cell]
Sr: 0.000 0.000 0.500 [4 per cell]
Nb: 0.250 0.250 0.750 [4 per cell]
In: 0.250 0.250 0.250 [4 per cell]
O: 0.009 0.250 0.750 [24 per cell]

Top 10 peaks for 2θ = 10–90°, low angle first:
| 2theta | d (Å) | I/Imax |
| --- | --- | --- |
| 18.39 | 4.823 | 3 |
| 30.26 | 2.954 | 100 |
| 35.64 | 2.519 | 2 |
| 37.29 | 2.412 | 3 |
| 43.32 | 2.089 | 32 |
| 53.75 | 1.705 | 40 |
| 62.94 | 1.477 | 19 |
| 71.41 | 1.321 | 17 |
| 79.48 | 1.206 | 6 |
| 87.35 | 1.116 | 21 |

---

Record 2
Pr3Np: computed powder X-ray diffraction pattern (Cu Kα (λ = 1.5418 Å)), based on a structure optimized by DFT (PBE).
Peak positions follow from Bragg's law for the DFT cell and can differ from measured ones.

Cell and atoms:
Cell lengths 5.143, 5.143, 5.143 Å; angles 90.00, 90.00, 90.00 degrees
Space group Pm-3m (No. 221)
Symmetry-distinct sites (fractional):
Pr: 0.000 0.000 0.500 [3 per cell]
Np: 0.500 0.500 0.500 [1 per cell]

Top 10 peaks for 2θ = 10–90°, low angle first:
| 2theta | d (Å) | I/Imax |
| --- | --- | --- |
| 17.24 | 5.143 | 5 |
| 24.48 | 3.637 | 4 |
| 30.10 | 2.969 | 100 |
| 34.89 | 2.571 | 51 |
| 50.17 | 1.818 | 37 |
| 59.62 | 1.551 | 44 |
| 62.57 | 1.485 | 13 |
| 73.68 | 1.286 | 6 |
| 81.60 | 1.180 | 18 |
| 84.19 | 1.150 | 17 |

---

Record 3
KPO3: computed powder X-ray diffraction pattern (Cu Kα (λ = 1.5418 Å)), based on a structure optimized by DFT (PBE).
Peak positions follow from Bragg's law for the DFT cell and can differ from measured ones.

Cell and atoms:
Cell lengths 7.498, 12.183, 12.144 Å; angles 90.00, 114.95, 90.00 degrees
Space group P2_1/c (No. 14)
Symmetry-distinct sites (fractional):
K: 0.078 0.141 0.419 [4 per cell]
K: 0.231 0.081 0.879 [4 per cell]
K: 0.302 0.744 0.899 [4 per cell]
P: 0.252 0.171 0.176 [4 per cell]
P: 0.282 0.570 0.654 [4 per cell]
P: 0.393 0.555 0.165 [4 per cell]
O: 0.108 0.238 0.204 [4 per cell]
O: 0.152 0.658 0.666 [4 per cell]
O: 0.164 0.046 0.143 [4 per cell]
O: 0.279 0.548 0.030 [4 per cell]
O: 0.281 0.572 0.241 [4 per cell]
O: 0.318 0.210 0.082 [4 per cell]
O: 0.358 0.577 0.558 [4 per cell]
O: 0.441 0.151 0.307 [4 per cell]
O: 0.467 0.554 0.789 [4 per cell]

Top 10 peaks for 2θ = 10–90°, low angle first:
| 2theta | d (Å) | I/Imax |
| --- | --- | --- |
| 15.88 | 5.582 | 28 |
| 21.59 | 4.116 | 27 |
| 25.37 | 3.511 | 21 |
| 26.22 | 3.399 | 32 |
| 26.59 | 3.352 | 18 |
| 27.24 | 3.274 | 17 |
| 27.29 | 3.268 | 100 |
| 28.21 | 3.164 | 37 |
| 28.46 | 3.136 | 36 |
| 31.51 | 2.839 | 18 |

---

Record 4
Cs4Hf3Se14: computed powder X-ray diffraction pattern (Cu Kα (λ = 1.5418 Å)), based on a structure optimized by DFT (PBE).
Peak positions follow from Bragg's law for the DFT cell and can differ from measured ones.

Cell and atoms:
Cell lengths 23.174, 9.147, 15.046 Å; angles 90.00, 113.17, 90.00 degrees
Space group C2/c (No. 15)
Symmetry-distinct sites (fractional):
Cs: 0.064 0.246 0.152 [8 per cell]
Cs: 0.201 0.323 0.610 [8 per cell]
Hf: 0.000 0.261 0.750 [4 per cell]
Hf: 0.168 0.257 0.915 [8 per cell]
Se: 0.035 0.335 0.604 [8 per cell]
Se: 0.064 0.106 0.918 [8 per cell]
Se: 0.081 0.478 0.867 [8 per cell]
Se: 0.100 0.149 0.724 [8 per cell]
Se: 0.146 0.036 0.391 [8 per cell]
Se: 0.175 0.487 0.337 [8 per cell]
Se: 0.220 0.285 0.099 [8 per cell]

Top 10 peaks for 2θ = 10–90°, low angle first:
| 2theta | d (Å) | I/Imax |
| --- | --- | --- |
| 11.44 | 7.736 | 100 |
| 12.21 | 7.247 | 49 |
| 19.41 | 4.573 | 24 |
| 20.79 | 4.272 | 30 |
| 23.23 | 3.829 | 16 |
| 25.76 | 3.459 | 31 |
| 26.47 | 3.367 | 39 |
| 31.68 | 2.825 | 16 |
| 34.79 | 2.579 | 17 |
| 42.31 | 2.136 | 15 |

---

Record 5
ScS: computed powder X-ray diffraction pattern (Cu Kα (λ = 1.5418 Å)), based on a structure optimized by DFT (PBE).
Peak positions follow from Bragg's law for the DFT cell and can differ from measured ones.

Cell and atoms:
Cell lengths 5.222, 5.222, 5.222 Å; angles 90.00, 90.00, 90.00 degrees
Space group Fm-3m (No. 225)
Symmetry-distinct sites (fractional):
Sc: 0.000 0.000 0.000 [4 per cell]
S: 0.000 0.000 0.500 [4 per cell]

Top 7 peaks for 2θ = 10–90°, low angle first:
| 2theta | d (Å) | I/Imax |
| --- | --- | --- |
| 29.63 | 3.015 | 4 |
| 34.35 | 2.611 | 100 |
| 49.36 | 1.846 | 64 |
| 58.64 | 1.574 | 2 |
| 61.52 | 1.507 | 21 |
| 72.39 | 1.305 | 9 |
| 82.64 | 1.168 | 26 |

---

Record 6
SrZrCdH8C8O22: computed powder X-ray diffraction pattern (Cu Kα (λ = 1.5418 Å)), based on a structure optimized by DFT (PBE).
Peak positions follow from Bragg's law for the DFT cell and can differ from measured ones.

Cell and atoms:
Cell lengths 8.781, 16.078, 9.180 Å; angles 90.00, 118.41, 90.00 degrees
Space group C2 (No. 5)
Symmetry-distinct sites (fractional):
Sr: 0.000 0.000 0.000 [2 per cell]
Zr: 0.000 0.751 0.500 [2 per cell]
Cd: 0.000 0.501 0.000 [2 per cell]
H: 0.069 0.145 0.287 [4 per cell]
H: 0.123 0.110 0.781 [4 per cell]
H: 0.161 0.392 0.782 [4 per cell]
H: 0.216 0.858 0.286 [4 per cell]
C: 0.088 0.639 0.275 [4 per cell]
C: 0.100 0.617 0.770 [4 per cell]
C: 0.171 0.886 0.770 [4 per cell]
C: 0.187 0.364 0.277 [4 per cell]
O: 0.000 0.002 0.500 [2 per cell]
O: 0.000 0.250 0.500 [2 per cell]
O: 0.014 0.103 0.786 [4 per cell]
O: 0.029 0.845 0.688 [4 per cell]
O: 0.042 0.399 0.204 [4 per cell]
O: 0.155 0.694 0.388 [4 per cell]
O: 0.160 0.604 0.201 [4 per cell]
O: 0.160 0.658 0.688 [4 per cell]
O: 0.179 0.563 0.878 [4 per cell]
O: 0.200 0.939 0.880 [4 per cell]
O: 0.223 0.897 0.208 [4 per cell]
O: 0.233 0.308 0.388 [4 per cell]

Top 10 peaks for 2θ = 10–90°, low angle first:
| 2theta | d (Å) | I/Imax |
| --- | --- | --- |
| 10.99 | 8.050 | 13 |
| 12.73 | 6.955 | 51 |
| 15.55 | 5.697 | 100 |
| 23.07 | 3.856 | 27 |
| 31.40 | 2.848 | 35 |
| 32.12 | 2.786 | 26 |
| 32.18 | 2.781 | 10 |
| 39.36 | 2.289 | 10 |
| 44.21 | 2.049 | 10 |
| 45.53 | 1.992 | 15 |

---

Record 7
Na2InCuF7: computed powder X-ray diffraction pattern (Cu Kα (λ = 1.5418 Å)), based on a structure optimized by DFT (PBE).
Peak positions follow from Bragg's law for the DFT cell and can differ from measured ones.

Cell and atoms:
Cell lengths 10.730, 7.361, 7.836 Å; angles 90.00, 90.00, 90.00 degrees
Space group Pnma (No. 62)
Symmetry-distinct sites (fractional):
Na: 0.000 0.000 0.000 [4 per cell]
Na: 0.238 0.250 0.282 [4 per cell]
In: 0.233 0.250 0.775 [4 per cell]
Cu: 0.000 0.000 0.500 [4 per cell]
F: 0.033 0.250 0.460 [4 per cell]
F: 0.122 0.019 0.735 [8 per cell]
F: 0.140 0.546 0.350 [8 per cell]
F: 0.142 0.250 0.017 [4 per cell]
F: 0.167 0.750 0.044 [4 per cell]

Top 10 peaks for 2θ = 10–90°, low angle first:
| 2theta | d (Å) | I/Imax |
| --- | --- | --- |
| 14.00 | 6.328 | 33 |
| 16.52 | 5.365 | 81 |
| 23.45 | 3.793 | 57 |
| 28.21 | 3.164 | 100 |
| 29.43 | 3.035 | 85 |
| 33.40 | 2.682 | 29 |
| 47.96 | 1.897 | 63 |
| 49.54 | 1.840 | 22 |
| 55.87 | 1.646 | 26 |
| 57.99 | 1.590 | 27 |

---

Record 8
LiSi: computed powder X-ray diffraction pattern (Cu Kα (λ = 1.5418 Å)), based on a structure optimized by DFT (PBE).
Peak positions follow from Bragg's law for the DFT cell and can differ from measured ones.

Cell and atoms:
Cell lengths 6.221, 6.221, 6.221 Å; angles 90.00, 90.00, 90.00 degrees
Space group Fd-3m (No. 227, origin choice 2)
Symmetry-distinct sites (fractional):
Li: 0.125 0.125 0.125 [8 per cell]
Si: 0.125 0.125 0.625 [8 per cell]

Top 8 peaks for 2θ = 10–90°, low angle first:
| 2theta | d (Å) | I/Imax |
| --- | --- | --- |
| 24.79 | 3.592 | 69 |
| 41.03 | 2.200 | 100 |
| 48.53 | 1.876 | 29 |
| 59.43 | 1.555 | 16 |
| 65.39 | 1.427 | 12 |
| 74.76 | 1.270 | 33 |
| 80.17 | 1.197 | 9 |
| 89.01 | 1.100 | 11 |

---

Record 9
TaMn2N3: computed powder X-ray diffraction pattern (Cu Kα (λ = 1.5418 Å)), based on a structure optimized by DFT (PBE).
Peak positions follow from Bragg's law for the DFT cell and can differ from measured ones.

Cell and atoms:
Cell lengths 5.487, 9.475, 10.430 Å; angles 90.00, 94.84, 90.00 degrees
Space group C2/c (No. 15)
Symmetry-distinct sites (fractional):
Ta: 0.176 0.016 0.142 [8 per cell]
Mn: 0.138 0.391 0.594 [8 per cell]
Mn: 0.241 0.185 0.823 [8 per cell]
N: 0.000 0.160 0.250 [4 per cell]
N: 0.000 0.496 0.750 [4 per cell]
N: 0.106 0.194 0.637 [8 per cell]
N: 0.180 0.410 0.017 [8 per cell]

Top 10 peaks for 2θ = 10–90°, low angle first:
| 2theta | d (Å) | I/Imax |
| --- | --- | --- |
| 18.73 | 4.737 | 100 |
| 26.37 | 3.379 | 65 |
| 32.76 | 2.734 | 36 |
| 34.52 | 2.598 | 36 |
| 35.80 | 2.508 | 42 |
| 36.48 | 2.463 | 65 |
| 37.82 | 2.379 | 51 |
| 38.28 | 2.351 | 25 |
| 39.58 | 2.277 | 29 |
| 51.02 | 1.790 | 25 |

---

Record 10
Ho2MgPd2: computed powder X-ray diffraction pattern (Cu Kα (λ = 1.5418 Å)), based on a structure optimized by DFT (PBE).
Peak positions follow from Bragg's law for the DFT cell and can differ from measured ones.

Cell and atoms:
Cell lengths 7.604, 7.604, 3.832 Å; angles 90.00, 90.00, 90.00 degrees
Space group P4/mbm (No. 127)
Symmetry-distinct sites (fractional):
Ho: 0.171 0.329 0.000 [4 per cell]
Mg: 0.000 0.000 0.500 [2 per cell]
Pd: 0.131 0.631 0.500 [4 per cell]

Top 10 peaks for 2θ = 10–90°, low angle first:
| 2theta | d (Å) | I/Imax |
| --- | --- | --- |
| 16.49 | 5.377 | 23 |
| 23.40 | 3.802 | 13 |
| 33.19 | 2.699 | 13 |
| 35.29 | 2.543 | 100 |
| 37.40 | 2.405 | 23 |
| 47.45 | 1.916 | 11 |
| 50.95 | 1.792 | 10 |
| 55.28 | 1.662 | 14 |
| 61.93 | 1.498 | 11 |
| 71.16 | 1.325 | 12 |

---

Number 4 is which compound? Cs4Hf3Se14

---

What is the formula in the first record? BaSrNbInO6